The following is a computed PXRD pattern of Dy4Ho5Tl4. It was derived from a structure optimized by DFT (PBE), using Cu Kα, 1.54184 Å.
Peak positions follow from Bragg's law for the DFT cell and can differ from measured ones.

Top 10 peaks for 2θ = 10–90°, sorted by position:
| d [Å] | I/Imax | h k l |
| --- | --- | --- |
| 2.815 | 100 | 2 3 1 |
| 2.726 | 10 | 4 2 0 |
| 2.556 | 17 | 1 4 1 |
| 2.542 | 25 | 0 0 2 |
| 2.391 | 16 | 5 1 0 |
| 1.741 | 13 | 5 1 2 |
| 1.591 | 7 | 7 2 1 |
| 1.515 | 16 | 2 3 3 |
| 1.427 | 7 | 5 5 2 |
| 1.374 | 8 | 8 3 1 |

Crystal structure
```
data_Dy4Ho5Tl4
_chemical_formula_sum 'Dy8 Ho10 Tl8'
_cell_length_a 12.1918
_cell_length_b 12.1918
_cell_length_c 5.0831
_cell_angle_alpha 90.00
_cell_angle_beta 90.00
_cell_angle_gamma 90.00
_space_group_name_H-M_alt 'I 4/m'
_space_group_IT_number 87
_space_group_name_Hall '-I 4'
loop_
_atom_site_label
_atom_site_type_symbol
_atom_site_fract_x
_atom_site_fract_y
_atom_site_fract_z
_atom_site_occupancy
Dy1 Dy 0.0969 0.6065 0.0000 1
Ho1 Ho 0.0000 0.0000 0.0000 1
Ho2 Ho 0.0989 0.8142 0.5000 1
Tl1 Tl 0.1063 0.2339 0.0000 1
```

***

The following is a computed PXRD pattern of Dy2Ho4Tl. It was derived from a structure optimized by DFT (PBE), using Cu Kα, 1.54184 Å.
Peak positions follow from Bragg's law for the DFT cell and can differ from measured ones.

Top 10 peaks for 2θ = 10–90°, sorted by position:
| d [Å] | I/Imax | h k l |
| --- | --- | --- |
| 3.034 | 43 | 1 1 3 |
| 2.871 | 35 | 4 0 0 |
| 2.845 | 39 | 4 0 1 |
| 2.835 | 86 | 1 1 4 |
| 2.665 | 100 | 2 0 7 |
| 2.516 | 25 | 3 1 2 |
| 2.430 | 47 | 3 1 3 |
| 1.760 | 19 | 0 2 0 |
| 1.750 | 17 | 5 1 5 |
| 1.468 | 34 | 2 2 7 |

Crystal structure
```
data_Dy2Ho4Tl
_chemical_formula_sum 'Dy8 Ho16 Tl4'
_cell_length_a 11.4850
_cell_length_b 3.5190
_cell_length_c 21.0563
_cell_angle_alpha 90.00
_cell_angle_beta 90.00
_cell_angle_gamma 90.00
_space_group_name_H-M_alt 'P n m a'
_space_group_IT_number 62
_space_group_name_Hall '-P 2ac 2n'
loop_
_atom_site_label
_atom_site_type_symbol
_atom_site_fract_x
_atom_site_fract_y
_atom_site_fract_z
_atom_site_occupancy
Dy1 Dy 0.1496 0.2500 0.1007 1
Dy2 Dy 0.1579 0.7500 0.3963 1
Ho1 Ho 0.0747 0.2500 0.8110 1
Ho2 Ho 0.1151 0.7500 0.9616 1
Ho3 Ho 0.1165 0.2500 0.5410 1
Ho4 Ho 0.1705 0.2500 0.2556 1
Tl1 Tl 0.0839 0.7500 0.6740 1
```

***

The following is a computed PXRD pattern of Dy7Ho4Tl. It was derived from a structure optimized by DFT (PBE), using Cu Kα, 1.54184 Å.
Peak positions follow from Bragg's law for the DFT cell and can differ from measured ones.

Top 10 peaks for 2θ = 10–90°, sorted by position:
| d [Å] | I/Imax | h k l |
| --- | --- | --- |
| 2.885 | 100 | 1 0 4 |
| 2.838 | 30 | 0 0 12 |
| 2.488 | 65 | 0 1 8 |
| 1.771 | 24 | 1 1 0 |
| 1.749 | 21 | 1 0 16 |
| 1.509 | 14 | 0 2 4 |
| 1.502 | 27 | 1 1 12 |
| 1.489 | 12 | 0 1 20 |
| 1.443 | 12 | 2 0 8 |
| 1.149 | 12 | 2 1 4 |

Crystal structure
```
data_Dy7Ho4Tl
_chemical_formula_sum 'Dy7 Ho4 Tl1'
_cell_length_a 3.5415
_cell_length_b 3.5415
_cell_length_c 34.0523
_cell_angle_alpha 90.00
_cell_angle_beta 90.00
_cell_angle_gamma 120.00
_space_group_name_H-M_alt 'P -3 m 1'
_space_group_IT_number 164
_space_group_name_Hall '-P 3 2"'
loop_
_atom_site_label
_atom_site_type_symbol
_atom_site_fract_x
_atom_site_fract_y
_atom_site_fract_z
_atom_site_occupancy
Dy1 Dy 0.0000 0.0000 0.0000 1
Dy2 Dy 0.0000 0.0000 0.2534 1
Dy3 Dy 0.3333 0.6667 0.1686 1
Dy4 Dy 0.3333 0.6667 0.4219 1
Ho1 Ho 0.3333 0.6667 0.6621 1
Ho2 Ho 0.3333 0.6667 0.9157 1
Tl1 Tl 0.0000 0.0000 0.5000 1
```